For Rb2LiTe3, DFT lattice parameters and positions (GGA-PBE) gives the computed PXRD pattern in this record (Cu Kα (λ = 1.5418 Å)).
No peak broadening, texture or thermal motion is included.

Largest 6 diffraction maxima, sorted by position, 2θ from 10° to 80°:
2θ 25.79, I = 98.9, hkl 0 0 2; 2θ 26.49, I = 100.0, hkl 1 1 1; 2θ 27.51, I = 83.2, hkl 3 1 -2; 2θ 33.99, I = 43.1, hkl 3 1 -3; 2θ 35.62, I = 36.4, hkl 0 2 0; 2θ 44.50, I = 44.6, hkl 0 2 2

Structural model:
```
data_Rb2LiTe3
_chemical_formula_sum 'Rb4 Li2 Te6'
_symmetry_space_group_name_H-M 'P 1'
_symmetry_Int_Tables_number 1
_cell_length_a 13.8931
_cell_length_b 5.0403
_cell_length_c 9.2848
_cell_angle_alpha 90.00
_cell_angle_beta 131.87
_cell_angle_gamma 90.00
loop_
_symmetry_equiv_pos_as_xyz
'x,y,z'
loop_
_atom_site_label
_atom_site_fract_x
_atom_site_fract_y
_atom_site_fract_z
_atom_site_occupancy
Rb1 0.0000 0.0000 0.0000 1
Rb2 0.0518 0.5000 0.5486 1
Rb3 0.5000 0.5000 0.0000 1
Rb4 0.5518 0.0000 0.5486 1
Li1 0.2782 0.5000 0.4528 1
Li2 0.7782 0.0000 0.4528 1
Te1 0.2748 0.0000 0.9956 1
Te2 0.2752 0.5000 0.1484 1
Te3 0.2767 0.0000 0.5516 1
Te4 0.7752 0.0000 0.1484 1
Te5 0.7748 0.5000 0.9956 1
Te6 0.7767 0.5000 0.5516 1
```